Entry 1:
Simulated X-ray diffraction stick pattern
Compound: U2SbTe2O2
Radiation: copper Kα
Structure: a cell relaxed with PBE
Kinematic intensities with the Lorentz-polarization factor, no thermal factor.

Most intense lines, 5° ≤ 2θ ≤ 70°, in order of rising 2θ:
6.61 deg, intensity 100
27.52 deg, intensity 97
29.90 deg, intensity 71
33.53 deg, intensity 63
38.09 deg, intensity 72
47.12 deg, intensity 46
49.16 deg, intensity 16
55.44 deg, intensity 27
59.06 deg, intensity 41
62.13 deg, intensity 21

Cell and atoms:
```
U2SbTe2O2
1.0
3.8572 0.0000 0.0000
-1.9286 3.3405 0.0000
0.0000 0.0000 13.3652
U Sb Te O
2 1 2 2
Cartesian
0.0000 2.2270 1.5007
1.9286 1.1135 11.8645
0.0000 0.0000 6.6826
0.0000 0.0000 3.6459
0.0000 0.0000 9.7193
0.0000 2.2270 12.4887
1.9286 1.1135 0.8765
```

Entry 2:
Simulated X-ray diffraction stick pattern
Compound: AcPaBe2O6
Radiation: copper Kα
Structure: a cell relaxed with PBE
Kinematic intensities with the Lorentz-polarization factor, no thermal factor.

Most intense lines, 5° ≤ 2θ ≤ 70°, in order of rising 2θ:
21.93 deg, intensity 100
28.34 deg, intensity 71
33.86 deg, intensity 34
40.71 deg, intensity 25
44.72 deg, intensity 17
46.34 deg, intensity 18
46.53 deg, intensity 37
53.95 deg, intensity 21
57.25 deg, intensity 18
69.44 deg, intensity 10

Cell and atoms:
```
AcPaBe2O6
1.0
2.6474 1.5285 5.7786
-2.6474 1.5285 5.7786
0.0000 -3.0569 5.7786
Ac Pa Be O
1 1 2 6
Cartesian
0.0000 0.0000 0.0000
0.0000 0.0000 8.6679
0.0000 0.0000 4.1677
0.0000 0.0000 13.1681
-1.7349 -0.2715 7.3460
-0.6323 -1.6382 9.9898
1.1026 -1.3667 7.3460
-1.1026 1.3667 9.9898
0.6323 1.6382 7.3460
1.7349 0.2715 9.9898
```

Entry 3:
Simulated X-ray diffraction stick pattern
Compound: In3Hg4
Radiation: copper Kα
Structure: a cell relaxed with PBE
Kinematic intensities with the Lorentz-polarization factor, no thermal factor.

Most intense lines, 5° ≤ 2θ ≤ 70°, in order of rising 2θ:
32.40 deg, intensity 100
33.53 deg, intensity 91
34.50 deg, intensity 42
36.68 deg, intensity 36
44.69 deg, intensity 21
49.85 deg, intensity 15
51.22 deg, intensity 14
58.49 deg, intensity 19
63.37 deg, intensity 15
67.82 deg, intensity 12

Cell and atoms:
```
In3Hg4
1.0
3.5886 0.0000 0.0000
0.2653 4.0577 0.0000
0.7800 1.6066 12.8046
In Hg
3 4
Cartesian
0.0000 0.0000 0.0000
1.1239 1.7340 9.1286
3.5100 3.9303 3.6760
1.4341 1.8512 5.5028
1.7439 1.9679 1.8360
2.8900 3.6965 10.9686
3.1998 3.8132 7.3019
```

Entry 4:
Simulated X-ray diffraction stick pattern
Compound: PmTa2Ru3
Radiation: copper Kα
Structure: a cell relaxed with PBE
Kinematic intensities with the Lorentz-polarization factor, no thermal factor.

Most intense lines, 5° ≤ 2θ ≤ 70°, in order of rising 2θ:
8.30 deg, intensity 17
25.07 deg, intensity 9
28.14 deg, intensity 7
38.04 deg, intensity 100
40.22 deg, intensity 52
44.41 deg, intensity 12
47.99 deg, intensity 7
58.19 deg, intensity 18
59.67 deg, intensity 8
67.25 deg, intensity 11

Cell and atoms:
```
PmTa2Ru3
1.0
3.1706 0.0000 0.0000
0.0000 3.1706 0.0000
0.0000 0.0000 10.6570
Pm Ta Ru
1 2 3
Cartesian
0.0000 0.0000 0.0000
0.0000 0.0000 3.6521
0.0000 0.0000 7.0049
1.5853 1.5853 2.2569
1.5853 1.5853 5.3285
1.5853 1.5853 8.4000
```

Entry 5:
Simulated X-ray diffraction stick pattern
Compound: CeCo6Si4
Radiation: copper Kα
Structure: a cell relaxed with PBE
Kinematic intensities with the Lorentz-polarization factor, no thermal factor.

Most intense lines, 5° ≤ 2θ ≤ 70°, in order of rising 2θ:
29.12 deg, intensity 18
31.25 deg, intensity 17
36.77 deg, intensity 25
40.11 deg, intensity 100
41.75 deg, intensity 34
49.01 deg, intensity 13
50.24 deg, intensity 20
55.62 deg, intensity 17
64.01 deg, intensity 13
67.31 deg, intensity 16

Cell and atoms:
```
CeCo6Si4
1.0
6.6095 0.0000 0.0000
-3.3047 5.7240 0.0000
0.0000 0.0000 3.6323
Ce Co Si
1 6 4
Cartesian
0.0000 0.0000 0.0000
0.0000 2.3382 1.8161
-1.2798 4.5549 1.8161
3.3047 0.3860 0.0000
1.9866 2.6690 0.0000
1.2798 4.5549 1.8161
4.6229 2.6690 0.0000
0.0000 3.8160 0.0000
1.9968 1.1529 1.8161
4.6127 1.1529 1.8161
3.3047 3.4182 1.8161
```

Entry 6:
Simulated X-ray diffraction stick pattern
Compound: Cd6Ag10Ge
Radiation: copper Kα
Structure: a cell relaxed with PBE
Kinematic intensities with the Lorentz-polarization factor, no thermal factor.

Most intense lines, 5° ≤ 2θ ≤ 70°, in order of rising 2θ:
33.48 deg, intensity 15
37.09 deg, intensity 76
38.12 deg, intensity 69
38.42 deg, intensity 100
49.04 deg, intensity 16
55.24 deg, intensity 19
59.12 deg, intensity 12
68.61 deg, intensity 9
69.09 deg, intensity 10
69.67 deg, intensity 10

Cell and atoms:
```
Cd6Ag10Ge
1.0
8.1771 0.0000 0.0000
-4.0885 7.0815 0.0000
0.0000 0.0000 5.7190
Cd Ag Ge
6 10 1
Cartesian
-1.5805 2.7376 1.2425
-2.5080 4.3440 4.4765
3.1611 0.0000 1.2425
1.5805 2.7376 4.4765
5.0160 0.0000 4.4765
2.5080 4.3440 1.2425
-1.0660 1.8465 3.9543
-3.0225 5.2351 1.7647
2.1321 0.0000 3.9543
1.0660 1.8465 1.7647
0.0000 4.7210 0.0000
0.0000 4.7210 2.8595
4.0885 2.3605 0.0000
4.0885 2.3605 2.8595
6.0450 0.0000 1.7647
3.0225 5.2351 3.9543
0.0000 0.0000 0.0000
```